Entry 1:
Theoretical XRD peak list
Compound: DyTm2Mg4
Radiation: λ = 1.5418 Å (Cu Kα)
Structure: a structure optimized by DFT (PBE)
Peak positions follow from Bragg's law for the DFT cell and can differ from measured ones.

Top 10 peaks for 2θ from 5° to 70°, by angle:
d 5.512, I 93
d 3.191, I 51
d 3.145, I 65
d 2.876, I 25
d 2.756, I 41
d 2.549, I 100
d 2.469, I 25
d 2.448, I 34
d 1.838, I 24
d 1.701, I 27

Atomic structure:
```
DyTm2Mg4
1.0
4.923 -5.512 0.000
4.923 5.512 0.000
0.000 0.000 3.543
Dy Tm Mg
1 2 4
direct
0.000 0.000 0.000
0.305 0.305 0.500
0.695 0.695 0.500
0.000 0.500 0.000
0.254 0.746 0.500
0.500 0.000 0.000
0.746 0.254 0.500
```

Entry 2:
Theoretical XRD peak list
Compound: DyTm8Mg2
Radiation: λ = 1.5418 Å (Cu Kα)
Structure: a structure optimized by DFT (PBE)
Peak positions follow from Bragg's law for the DFT cell and can differ from measured ones.

Top 10 peaks for 2θ from 5° to 70°, by angle:
d 7.640, I 32
d 4.266, I 33
d 3.040, I 79
d 2.933, I 27
d 2.812, I 100
d 2.731, I 82
d 2.712, I 81
d 2.659, I 96
d 2.595, I 67
d 1.753, I 28

Atomic structure:
```
DyTm8Mg2
1.0
4.314 -7.640 0.000
4.314 7.640 0.000
-2.354 0.000 5.023
Dy Tm Mg
1 8 2
direct
0.000 0.000 0.000
0.098 0.320 0.629
0.213 0.787 0.000
0.320 0.098 0.629
0.405 0.405 0.202
0.595 0.595 0.798
0.680 0.902 0.371
0.787 0.213 0.000
0.902 0.680 0.371
0.307 0.693 0.500
0.693 0.307 0.500
```

Entry 3:
Theoretical XRD peak list
Compound: Dy2Tm6Mg
Radiation: λ = 1.5418 Å (Cu Kα)
Structure: a structure optimized by DFT (PBE)
Peak positions follow from Bragg's law for the DFT cell and can differ from measured ones.

Top 10 peaks for 2θ from 5° to 70°, by angle:
d 7.338, I 6
d 3.389, I 4
d 2.838, I 100
d 2.481, I 17
d 2.446, I 33
d 1.742, I 24
d 1.730, I 12
d 1.492, I 14
d 1.477, I 28
d 1.419, I 12

Atomic structure:
```
Dy2Tm6Mg
1.0
10.378 0.000 0.000
0.000 10.378 0.000
0.000 0.000 4.961
Dy Tm Mg
4 12 2
direct
0.166 0.166 0.000
0.334 0.666 0.500
0.666 0.334 0.500
0.834 0.834 0.000
0.000 0.334 0.500
0.000 0.666 0.500
0.166 0.500 0.000
0.168 0.832 0.000
0.332 0.332 0.500
0.334 0.000 0.500
0.500 0.166 0.000
0.500 0.834 0.000
0.666 0.000 0.500
0.668 0.668 0.500
0.832 0.168 0.000
0.834 0.500 0.000
0.000 0.000 0.500
0.500 0.500 0.000
```

Entry 4:
Theoretical XRD peak list
Compound: DyTm3Mg3
Radiation: λ = 1.5418 Å (Cu Kα)
Structure: a structure optimized by DFT (PBE)
Peak positions follow from Bragg's law for the DFT cell and can differ from measured ones.

Top 10 peaks for 2θ from 5° to 70°, by angle:
d 7.824, I 25
d 4.481, I 21
d 3.482, I 21
d 2.957, I 30
d 2.733, I 25
d 2.601, I 100
d 2.007, I 20
d 1.707, I 20
d 1.551, I 21
d 1.448, I 22

Atomic structure:
```
DyTm3Mg3
1.0
9.031 0.000 0.000
0.000 5.466 0.000
-4.513 0.000 7.827
Dy Tm Mg
2 6 6
direct
0.167 0.250 0.333
0.833 0.750 0.667
0.259 0.750 0.804
0.304 0.250 0.044
0.456 0.250 0.759
0.544 0.750 0.241
0.696 0.750 0.956
0.741 0.250 0.196
0.021 0.250 0.616
0.116 0.750 0.094
0.406 0.750 0.522
0.594 0.250 0.478
0.884 0.250 0.906
0.979 0.750 0.384
```

Entry 5:
Theoretical XRD peak list
Compound: Dy2Tm3Mg7
Radiation: λ = 1.5418 Å (Cu Kα)
Structure: a structure optimized by DFT (PBE)
Peak positions follow from Bragg's law for the DFT cell and can differ from measured ones.

Top 10 peaks for 2θ from 5° to 70°, by angle:
d 6.496, I 25
d 4.331, I 35
d 3.577, I 59
d 3.333, I 40
d 2.588, I 100
d 2.553, I 54
d 2.200, I 24
d 1.806, I 19
d 1.482, I 22
d 1.480, I 18

Atomic structure:
```
Dy2Tm3Mg7
1.0
2.556 -12.993 0.000
2.556 12.993 0.000
0.000 0.000 5.101
Dy Tm Mg
2 3 7
direct
0.145 0.855 0.000
0.855 0.145 0.000
0.345 0.655 0.500
0.500 0.500 0.500
0.655 0.345 0.500
0.000 0.000 0.000
0.071 0.929 0.500
0.272 0.728 0.000
0.429 0.571 0.000
0.571 0.429 0.000
0.728 0.272 0.000
0.929 0.071 0.500
```

Entry 6:
Theoretical XRD peak list
Compound: Dy2Y2TmMg
Radiation: λ = 1.5418 Å (Cu Kα)
Structure: a structure optimized by DFT (PBE)
Peak positions follow from Bragg's law for the DFT cell and can differ from measured ones.

Top 10 peaks for 2θ from 5° to 70°, by angle:
d 7.715, I 100
d 4.709, I 79
d 2.941, I 96
d 2.913, I 24
d 2.865, I 63
d 2.561, I 44
d 2.535, I 24
d 2.432, I 56
d 2.353, I 69
d 1.559, I 25

Atomic structure:
```
Dy2Y2TmMg
1.0
10.296 0.000 0.000
0.000 11.653 0.000
0.000 0.000 3.609
Dy Y Tm Mg
4 4 2 2
direct
0.089 0.223 0.000
0.411 0.723 0.500
0.589 0.277 0.500
0.911 0.777 0.000
0.250 0.428 0.500
0.250 0.928 0.000
0.750 0.072 0.000
0.750 0.572 0.500
0.000 0.000 0.500
0.500 0.500 0.000
0.000 0.500 0.000
0.500 0.000 0.500
```